This entry pairs a crystal structure of LiCo2P5O16 with its simulated X-ray powder pattern. Radiation: Cu Kα (weighted mean of Kα1 and Kα2). Structure: a crystal structure in Alexandria, relaxed with PBE+U.
Lines closer than 0.1° are merged.

Peak list (10 most intense, 10° ≤ 2θ ≤ 90°, in order of rising 2θ)
14.01°, 6.321 Å, rel. 82
16.32°, 5.430 Å, rel. 23
19.33°, 4.592 Å, rel. 55
22.60°, 3.934 Å, rel. 100
26.42°, 3.374 Å, rel. 18
29.17°, 3.061 Å, rel. 25
32.39°, 2.764 Å, rel. 36
33.14°, 2.703 Å, rel. 15
33.45°, 2.679 Å, rel. 19
35.77°, 2.510 Å, rel. 14

Cell lengths 5.021, 6.733, 18.370 Å; angles 90.00, 90.56, 90.00 degrees
Element x y z (fractional)
Li (0.000, 0.130, 0.000)
Li (0.000, 0.870, 0.500)
Co (0.509, 0.320, 0.875)
Co (0.509, 0.680, 0.375)
Co (0.990, 0.322, 0.559)
Co (0.990, 0.678, 0.059)
P (0.032, 0.378, 0.388)
P (0.032, 0.622, 0.888)
P (0.259, 0.244, 0.717)
P (0.259, 0.756, 0.217)
P (0.481, 0.377, 0.046)
P (0.481, 0.623, 0.546)
P (0.513, 0.024, 0.598)
P (0.513, 0.976, 0.098)
P (0.982, 0.038, 0.838)
P (0.982, 0.962, 0.338)
O (0.031, 0.194, 0.330)
O (0.031, 0.806, 0.830)
O (0.055, 0.097, 0.756)
O (0.055, 0.903, 0.256)
O (0.107, 0.355, 0.659)
O (0.107, 0.645, 0.159)
O (0.163, 0.132, 0.894)
O (0.163, 0.868, 0.394)
O (0.181, 0.415, 0.036)
O (0.181, 0.585, 0.536)
O (0.297, 0.098, 0.548)
O (0.297, 0.902, 0.048)
O (0.327, 0.439, 0.397)
O (0.327, 0.561, 0.897)
O (0.403, 0.368, 0.773)
O (0.403, 0.632, 0.273)
O (0.469, 0.096, 0.681)
O (0.469, 0.904, 0.181)
O (0.493, 0.210, 0.110)
O (0.493, 0.790, 0.610)
O (0.609, 0.276, 0.979)
O (0.609, 0.724, 0.479)
O (0.641, 0.450, 0.576)
O (0.641, 0.550, 0.076)
O (0.684, 0.072, 0.849)
O (0.684, 0.928, 0.349)
O (0.802, 0.060, 0.578)
O (0.802, 0.940, 0.078)
O (0.853, 0.467, 0.855)
O (0.853, 0.533, 0.355)
O (0.934, 0.279, 0.459)
O (0.934, 0.721, 0.959)



This entry pairs a crystal structure of LiCo2P2O8 with its simulated X-ray powder pattern. Radiation: Cu Kα (weighted mean of Kα1 and Kα2). Structure: a crystal structure in Alexandria, relaxed with PBE+U.
Lines closer than 0.1° are merged.

Peak list (10 most intense, 10° ≤ 2θ ≤ 90°, in order of rising 2θ)
14.89°, 5.949 Å, rel. 39
15.33°, 5.780 Å, rel. 45
19.68°, 4.511 Å, rel. 31
20.13°, 4.410 Å, rel. 58
20.49°, 4.335 Å, rel. 93
22.66°, 3.923 Å, rel. 100
27.09°, 3.292 Å, rel. 16
28.18°, 3.167 Å, rel. 22
30.08°, 2.971 Å, rel. 19
34.49°, 2.600 Å, rel. 20

Cell lengths 5.222, 8.017, 8.837 Å; angles 87.76, 86.98, 78.25 degrees
Element x y z (fractional)
Li (0.000, 0.000, 0.000)
Li (0.279, 0.403, 0.387)
Co (0.318, 0.185, 0.715)
Co (0.452, 0.642, 0.064)
Co (0.807, 0.285, 0.187)
Co (0.883, 0.788, 0.522)
P (0.341, 0.792, 0.731)
P (0.362, 0.259, 0.047)
P (0.841, 0.186, 0.517)
P (0.883, 0.678, 0.192)
O (0.081, 0.765, 0.099)
O (0.097, 0.254, 0.544)
O (0.113, 0.714, 0.683)
O (0.164, 0.160, 0.125)
O (0.233, 0.972, 0.798)
O (0.276, 0.323, 0.887)
O (0.370, 0.418, 0.147)
O (0.485, 0.677, 0.860)
O (0.532, 0.804, 0.596)
O (0.600, 0.790, 0.192)
O (0.645, 0.152, 0.045)
O (0.677, 0.308, 0.401)
O (0.680, 0.178, 0.667)
O (0.831, 0.519, 0.108)
O (0.924, 0.008, 0.447)
O (0.980, 0.627, 0.354)



This entry pairs a crystal structure of LiCoP2O7 with its simulated X-ray powder pattern. Radiation: Cu Kα (weighted mean of Kα1 and Kα2). Structure: a crystal structure in Alexandria, relaxed with PBE+U.
Lines closer than 0.1° are merged.

Peak list (10 most intense, 10° ≤ 2θ ≤ 90°, in order of rising 2θ)
17.18°, 5.160 Å, rel. 100
22.01°, 4.039 Å, rel. 24
22.53°, 3.946 Å, rel. 38
25.62°, 3.477 Å, rel. 15
26.50°, 3.364 Å, rel. 22
28.71°, 3.110 Å, rel. 16
29.54°, 3.024 Å, rel. 51
29.92°, 2.987 Å, rel. 26
34.77°, 2.580 Å, rel. 13
39.31°, 2.292 Å, rel. 16

Cell lengths 4.880, 8.150, 6.997 Å; angles 90.00, 107.68, 90.00 degrees
Element x y z (fractional)
Li (0.162, 0.000, 0.165)
Li (0.838, 0.500, 0.835)
Co (0.214, 0.640, 0.230)
Co (0.786, 0.140, 0.770)
P (0.222, 0.929, 0.586)
P (0.403, 0.321, 0.024)
P (0.597, 0.821, 0.976)
P (0.778, 0.429, 0.414)
O (0.041, 0.476, 0.349)
O (0.132, 0.841, 0.384)
O (0.188, 0.180, 0.985)
O (0.254, 0.489, 0.009)
O (0.392, 0.817, 0.105)
O (0.403, 0.795, 0.745)
O (0.408, 0.080, 0.582)
O (0.592, 0.580, 0.418)
O (0.597, 0.295, 0.255)
O (0.608, 0.317, 0.895)
O (0.746, 0.989, 0.991)
O (0.812, 0.680, 0.015)
O (0.868, 0.341, 0.616)
O (0.959, 0.976, 0.651)



Copy entry 2 word for word.
This entry pairs a crystal structure of LiCo2P2O8 with its simulated X-ray powder pattern. Radiation: Cu Kα (weighted mean of Kα1 and Kα2). Structure: a crystal structure in Alexandria, relaxed with PBE+U.
Lines closer than 0.1° are merged.

Peak list (10 most intense, 10° ≤ 2θ ≤ 90°, in order of rising 2θ)
14.89°, 5.949 Å, rel. 39
15.33°, 5.780 Å, rel. 45
19.68°, 4.511 Å, rel. 31
20.13°, 4.410 Å, rel. 58
20.49°, 4.335 Å, rel. 93
22.66°, 3.923 Å, rel. 100
27.09°, 3.292 Å, rel. 16
28.18°, 3.167 Å, rel. 22
30.08°, 2.971 Å, rel. 19
34.49°, 2.600 Å, rel. 20

Cell lengths 5.222, 8.017, 8.837 Å; angles 87.76, 86.98, 78.25 degrees
Element x y z (fractional)
Li (0.000, 0.000, 0.000)
Li (0.279, 0.403, 0.387)
Co (0.318, 0.185, 0.715)
Co (0.452, 0.642, 0.064)
Co (0.807, 0.285, 0.187)
Co (0.883, 0.788, 0.522)
P (0.341, 0.792, 0.731)
P (0.362, 0.259, 0.047)
P (0.841, 0.186, 0.517)
P (0.883, 0.678, 0.192)
O (0.081, 0.765, 0.099)
O (0.097, 0.254, 0.544)
O (0.113, 0.714, 0.683)
O (0.164, 0.160, 0.125)
O (0.233, 0.972, 0.798)
O (0.276, 0.323, 0.887)
O (0.370, 0.418, 0.147)
O (0.485, 0.677, 0.860)
O (0.532, 0.804, 0.596)
O (0.600, 0.790, 0.192)
O (0.645, 0.152, 0.045)
O (0.677, 0.308, 0.401)
O (0.680, 0.178, 0.667)
O (0.831, 0.519, 0.108)
O (0.924, 0.008, 0.447)
O (0.980, 0.627, 0.354)